Structure and computed X-ray powder pattern of MgFe2P2O8 (a crystal structure in the Materials Project, relaxed with PBE+U; Cu Kα, 1.54184 Å).
Lines closer than 0.1° are merged.

The 10 most intense peaks (10° ≤ 2θ ≤ 90°), low angle first:
19.20 deg, I = 38.6; 21.27 deg, I = 89.9; 27.46 deg, I = 49.9; 27.95 deg, I = 62.2; 29.57 deg, I = 100.0; 31.98 deg, I = 79.0; 35.17 deg, I = 59.0; 36.21 deg, I = 48.2; 38.49 deg, I = 52.6; 38.96 deg, I = 28.4

Crystal structure
a b c (Å): 5.0025 5.2264 6.6090
angles (deg): 75.42 87.76 67.81
Atoms (fractional coordinates):
Mg  0.0000  0.0000  0.0000
Fe  0.2306  0.2968  0.3617
Fe  0.6501  0.7911  0.7470
P  0.3161  0.4024  0.8480
P  0.5944  0.6920  0.2759
O  0.1130  0.7253  0.7722
O  0.1958  0.2641  0.0465
O  0.2944  0.6860  0.2281
O  0.3219  0.2240  0.6895
O  0.5590  0.8931  0.4246
O  0.6301  0.3866  0.8818
O  0.7102  0.8139  0.0671
O  0.8041  0.3902  0.3866